# 1
Theoretical powder diffraction line list
Compound: Rb2CaPt2
Radiation: λ = 1.5418 Å (Cu Kα)
Structure: a structure optimized by DFT (GGA-PBE)
Lines closer than 0.1° are merged.

Peak list (10 most intense, 2θ from 5° to 70°, by angle)
- d = 5.614 Å, 2θ = 15.78°, I 25
- d = 5.295 Å, 2θ = 16.74°, I 26
- d = 2.876 Å, 2θ = 31.10°, I 100
- d = 2.807 Å, 2θ = 31.88°, I 26
- d = 2.368 Å, 2θ = 38.00°, I 18
- d = 1.948 Å, 2θ = 46.63°, I 16
- d = 1.872 Å, 2θ = 48.64°, I 10
- d = 1.810 Å, 2θ = 50.42°, I 16
- d = 1.670 Å, 2θ = 55.00°, I 10
- d = 1.634 Å, 2θ = 56.31°, I 19

Structural model:
```
data_Rb2CaPt2
_chemical_formula_sum 'Rb4 Ca2 Pt4'
_cell_length_a 7.4880
_cell_length_b 7.4880
_cell_length_c 5.6145
_cell_angle_alpha 90.00
_cell_angle_beta 90.00
_cell_angle_gamma 90.00
_symmetry_space_group_name_H-M 'P 1'
_symmetry_Int_Tables_number 1
_symmetry_space_group_name_Hall 'P 1'
loop_
_atom_site_label
_atom_site_type_symbol
_atom_site_fract_x
_atom_site_fract_y
_atom_site_fract_z
Rb1 Rb 0.1656 0.3344 0.0000
Rb2 Rb 0.3344 0.8344 0.0000
Rb3 Rb 0.6656 0.1656 0.0000
Rb4 Rb 0.8344 0.6656 0.0000
Ca1 Ca 0.0000 0.0000 0.5000
Ca2 Ca 0.5000 0.5000 0.5000
Pt1 Pt 0.1237 0.6237 0.5000
Pt2 Pt 0.3763 0.1237 0.5000
Pt3 Pt 0.6237 0.8763 0.5000
Pt4 Pt 0.8763 0.3763 0.5000
```



# 2
Theoretical powder diffraction line list
Compound: Tb6ZrSc2
Radiation: λ = 1.5418 Å (Cu Kα)
Structure: a structure optimized by DFT (GGA-PBE)
Lines closer than 0.1° are merged.

Peak list (10 most intense, 2θ from 5° to 70°, by angle)
- d = 4.711 Å, 2θ = 18.83°, I 25
- d = 3.366 Å, 2θ = 26.48°, I 26
- d = 2.739 Å, 2θ = 32.70°, I 69
- d = 2.720 Å, 2θ = 32.93°, I 100
- d = 2.116 Å, 2θ = 42.72°, I 30
- d = 2.114 Å, 2θ = 42.78°, I 15
- d = 1.930 Å, 2θ = 47.09°, I 25
- d = 1.572 Å, 2θ = 58.73°, I 25
- d = 1.432 Å, 2θ = 65.15°, I 14
- d = 1.430 Å, 2θ = 65.23°, I 14

Structural model:
```
data_Tb6ZrSc2
_chemical_formula_sum 'Tb6 Zr1 Sc2'
_cell_length_a 9.4276
_cell_length_b 9.4276
_cell_length_c 3.3656
_cell_angle_alpha 90.09
_cell_angle_beta 90.09
_cell_angle_gamma 59.90
_symmetry_space_group_name_H-M 'P 1'
_symmetry_Int_Tables_number 1
_symmetry_space_group_name_Hall 'P 1'
loop_
_atom_site_label
_atom_site_type_symbol
_atom_site_fract_x
_atom_site_fract_y
_atom_site_fract_z
Tb1 Tb 0.1695 0.5000 0.0002
Tb2 Tb 0.1696 0.8304 0.0000
Tb3 Tb 0.5000 0.1695 0.0002
Tb4 Tb 0.5000 0.8305 0.9998
Tb5 Tb 0.8304 0.1696 0.0000
Tb6 Tb 0.8305 0.5000 0.9998
Zr1 Zr 0.5000 0.5000 0.5000
Sc1 Sc 0.1667 0.1667 0.5000
Sc2 Sc 0.8333 0.8333 0.5000
```



# 3
Theoretical powder diffraction line list
Compound: Ba6NaMg3
Radiation: λ = 1.5418 Å (Cu Kα)
Structure: a structure optimized by DFT (GGA-PBE)
Lines closer than 0.1° are merged.

Peak list (10 most intense, 2θ from 5° to 70°, by angle)
- d = 4.956 Å, 2θ = 17.90°, I 12
- d = 4.387 Å, 2θ = 20.24°, I 29
- d = 3.285 Å, 2θ = 27.15°, I 100
- d = 3.113 Å, 2θ = 28.68°, I 28
- d = 3.090 Å, 2θ = 28.89°, I 29
- d = 2.638 Å, 2θ = 33.99°, I 8
- d = 2.193 Å, 2θ = 41.16°, I 22
- d = 1.829 Å, 2θ = 49.86°, I 23
- d = 1.820 Å, 2θ = 50.13°, I 16
- d = 1.402 Å, 2θ = 66.69°, I 7

Structural model:
```
data_Ba6NaMg3
_chemical_formula_sum 'Ba12 Na2 Mg6'
_cell_length_a 11.6781
_cell_length_b 6.2250
_cell_length_c 13.3251
_cell_angle_alpha 90.00
_cell_angle_beta 100.08
_cell_angle_gamma 90.00
_symmetry_space_group_name_H-M 'P 1'
_symmetry_Int_Tables_number 1
_symmetry_space_group_name_Hall 'P 1'
loop_
_atom_site_label
_atom_site_type_symbol
_atom_site_fract_x
_atom_site_fract_y
_atom_site_fract_z
Ba1 Ba 0.0402 0.2500 0.4041
Ba2 Ba 0.1235 0.7500 0.1840
Ba3 Ba 0.2172 0.2500 0.9705
Ba4 Ba 0.3009 0.7500 0.7741
Ba5 Ba 0.3532 0.2500 0.2862
Ba6 Ba 0.4179 0.2500 0.5933
Ba7 Ba 0.5821 0.7500 0.4067
Ba8 Ba 0.6468 0.7500 0.7138
Ba9 Ba 0.6991 0.2500 0.2259
Ba10 Ba 0.7828 0.7500 0.0295
Ba11 Ba 0.8765 0.2500 0.8160
Ba12 Ba 0.9598 0.7500 0.5959
Na1 Na 0.4517 0.7500 0.0937
Na2 Na 0.5483 0.2500 0.9063
Mg1 Mg 0.0336 0.7500 0.8917
Mg2 Mg 0.1339 0.2500 0.6906
Mg3 Mg 0.2613 0.7500 0.4736
Mg4 Mg 0.7387 0.2500 0.5264
Mg5 Mg 0.8661 0.7500 0.3094
Mg6 Mg 0.9664 0.2500 0.1083
```



# 4
Theoretical powder diffraction line list
Compound: K12Rb
Radiation: λ = 1.5418 Å (Cu Kα)
Structure: a structure optimized by DFT (GGA-PBE)
Lines closer than 0.1° are merged.

Peak list (10 most intense, 2θ from 5° to 70°, by angle)
- d = 3.950 Å, 2θ = 22.51°, I 100
- d = 3.605 Å, 2θ = 24.69°, I 30
- d = 3.338 Å, 2θ = 26.71°, I 76
- d = 2.549 Å, 2θ = 35.20°, I 14
- d = 2.449 Å, 2θ = 36.69°, I 19
- d = 2.142 Å, 2θ = 42.19°, I 30
- d = 2.082 Å, 2θ = 43.47°, I 18
- d = 2.026 Å, 2θ = 44.73°, I 32
- d = 1.841 Å, 2θ = 49.50°, I 16
- d = 1.472 Å, 2θ = 63.17°, I 15

Structural model:
```
data_K12Rb
_chemical_formula_sum 'K12 Rb1'
_cell_length_a 10.8162
_cell_length_b 10.8162
_cell_length_c 10.8162
_cell_angle_alpha 109.47
_cell_angle_beta 109.47
_cell_angle_gamma 109.47
_symmetry_space_group_name_H-M 'P 1'
_symmetry_Int_Tables_number 1
_symmetry_space_group_name_Hall 'P 1'
loop_
_atom_site_label
_atom_site_type_symbol
_atom_site_fract_x
_atom_site_fract_y
_atom_site_fract_z
K1 K 0.1379 0.3195 0.8184
K2 K 0.1816 0.5010 0.3195
K3 K 0.1816 0.8621 0.6805
K4 K 0.3195 0.1816 0.5010
K5 K 0.3195 0.8184 0.1379
K6 K 0.4990 0.6805 0.8184
K7 K 0.5010 0.3195 0.1816
K8 K 0.6805 0.1816 0.8621
K9 K 0.6805 0.8184 0.4990
K10 K 0.8184 0.1379 0.3195
K11 K 0.8184 0.4990 0.6805
K12 K 0.8621 0.6805 0.1816
Rb1 Rb 0.0000 0.0000 0.0000
```